La3Pr4Tm4: calculated PXRD pattern (Cu Kα), based on a PBE-relaxed structure.
Kinematic intensities with the Lorentz-polarization factor, no thermal factor.

```
La3Pr4Tm4
1.0
3.6609 0.0000 0.0000
-0.0031 5.1547 0.0000
-1.8266 -2.5711 19.8699
La Pr Tm
3 4 4
direct
0.0000 0.0000 0.0000
0.3628 0.3628 0.7252
0.6372 0.6372 0.2748
0.1839 0.1836 0.3679
0.4530 0.4533 0.9062
0.5470 0.5467 0.0938
0.8161 0.8164 0.6321
0.0918 0.0915 0.1834
0.2716 0.2717 0.5431
0.7284 0.7283 0.4569
0.9082 0.9085 0.8166
```

Main lines, low angle first (10 to 90 degrees two-theta):
2θ 29.9, d = 2.985 Å, I = 100; 2θ 30.2, d = 2.958 Å, I = 97; 2θ 34.9, d = 2.573 Å, I = 100; 2θ 49.8, d = 1.830 Å, I = 12; 2θ 50.1, d = 1.820 Å, I = 48; 2θ 59.4, d = 1.556 Å, I = 43; 2θ 59.6, d = 1.552 Å, I = 14; 2θ 59.8, d = 1.545 Å, I = 27; 2θ 62.2, d = 1.492 Å, I = 12; 2θ 62.8, d = 1.479 Å, I = 12

In3SnI5: calculated PXRD pattern (Cu Kα), based on a PBE-relaxed structure.
Kinematic intensities with the Lorentz-polarization factor, no thermal factor.

```
In3SnI5
1.0
9.1908 0.0000 0.0000
0.0000 9.0396 0.0000
-3.1385 0.0000 17.4735
In Sn I
12 4 20
direct
0.1048 0.0948 0.2494
0.1048 0.4052 0.7494
0.2292 0.0445 0.5227
0.2292 0.4555 0.0227
0.3881 0.6851 0.7566
0.3881 0.8149 0.2566
0.6119 0.1851 0.7434
0.6119 0.3149 0.2434
0.7708 0.5445 0.9773
0.7708 0.9555 0.4773
0.8952 0.5948 0.2506
0.8952 0.9052 0.7506
0.3001 0.0450 0.9112
0.3001 0.4550 0.4112
0.6999 0.5450 0.5888
0.6999 0.9550 0.0888
0.9999 0.2154 0.8934
0.9999 0.2846 0.3934
0.0001 0.7154 0.6066
0.0001 0.7846 0.1066
0.1390 0.7303 0.8872
0.1390 0.7697 0.3872
0.2496 0.0443 0.7353
0.2496 0.4557 0.2353
0.3850 0.1156 0.1022
0.3850 0.3844 0.6022
0.4521 0.1389 0.3943
0.4521 0.3611 0.8943
0.5479 0.6389 0.1057
0.5479 0.8611 0.6057
0.6150 0.6156 0.3978
0.6150 0.8844 0.8978
0.7504 0.5443 0.7647
0.7504 0.9557 0.2647
0.8610 0.2303 0.6128
0.8610 0.2697 0.1128
```

Main lines, low angle first (10 to 90 degrees two-theta):
2θ 25.7, d = 3.467 Å, I = 74; 2θ 25.8, d = 3.452 Å, I = 32; 2θ 27.6, d = 3.234 Å, I = 73; 2θ 27.9, d = 3.202 Å, I = 100; 2θ 30.7, d = 2.913 Å, I = 54; 2θ 30.8, d = 2.901 Å, I = 87; 2θ 31.0, d = 2.882 Å, I = 27; 2θ 31.3, d = 2.859 Å, I = 86; 2θ 31.4, d = 2.847 Å, I = 31; 2θ 32.5, d = 2.753 Å, I = 31

Li4GaPb: calculated PXRD pattern (Cu Kα), based on a PBE-relaxed structure.
Kinematic intensities with the Lorentz-polarization factor, no thermal factor.

```
Li4GaPb
1.0
2.3256 -6.9151 0.0000
2.3256 6.9151 0.0000
0.0000 0.0000 6.9429
Li Ga Pb
8 2 2
direct
0.0153 0.9847 0.5000
0.1947 0.8053 0.2604
0.3355 0.6645 0.5582
0.4808 0.5192 0.2661
0.5192 0.4808 0.7661
0.6645 0.3355 0.0582
0.8053 0.1947 0.7604
0.9847 0.0153 0.0000
0.3558 0.6442 0.9709
0.6442 0.3558 0.4709
0.1603 0.8397 0.7891
0.8397 0.1603 0.2891
```

Main lines, low angle first (10 to 90 degrees two-theta):
2θ 12.8, d = 6.915 Å, I = 27; 2θ 18.1, d = 4.900 Å, I = 65; 2θ 23.9, d = 3.722 Å, I = 100; 2θ 25.8, d = 3.458 Å, I = 19; 2θ 27.2, d = 3.274 Å, I = 17; 2θ 28.8, d = 3.097 Å, I = 20; 2θ 32.8, d = 2.727 Å, I = 22; 2θ 37.8, d = 2.382 Å, I = 61; 2θ 40.1, d = 2.249 Å, I = 38; 2θ 41.1, d = 2.195 Å, I = 20

CeScTl2Te4: calculated PXRD pattern (Cu Kα), based on a PBE-relaxed structure.
Kinematic intensities with the Lorentz-polarization factor, no thermal factor.

```
CeScTl2Te4
1.0
7.6772 0.0000 0.0000
0.0000 4.4237 0.0000
-2.5249 0.0000 8.1599
Ce Sc Tl Te
1 1 2 4
direct
0.0000 0.0000 0.0000
0.5000 0.5000 0.0000
0.0000 0.5000 0.5000
0.5000 0.0000 0.5000
0.2556 0.5000 0.2152
0.2815 0.0000 0.7940
0.7185 0.0000 0.2060
0.7444 0.5000 0.7848
```

Main lines, low angle first (10 to 90 degrees two-theta):
2θ 23.5, d = 3.789 Å, I = 8; 2θ 27.4, d = 3.250 Å, I = 100; 2θ 29.6, d = 3.015 Å, I = 8; 2θ 37.5, d = 2.398 Å, I = 12; 2θ 37.7, d = 2.389 Å, I = 25; 2θ 40.8, d = 2.214 Å, I = 36; 2θ 49.9, d = 1.828 Å, I = 13; 2θ 56.6, d = 1.626 Å, I = 7; 2θ 61.9, d = 1.499 Å, I = 9; 2θ 66.2, d = 1.411 Å, I = 10

LaPr4Ga2: calculated PXRD pattern (Cu Kα), based on a PBE-relaxed structure.
Kinematic intensities with the Lorentz-polarization factor, no thermal factor.

```
LaPr4Ga2
1.0
2.5315 1.4616 10.5687
-2.5315 1.4616 10.5687
0.0000 -2.9231 10.5687
La Pr Ga
1 4 2
direct
0.0000 0.0000 0.0000
0.2013 0.2013 0.2013
0.3953 0.3953 0.3953
0.6047 0.6047 0.6047
0.7987 0.7987 0.7987
0.0991 0.0991 0.0991
0.9009 0.9009 0.9009
```

Main lines, low angle first (10 to 90 degrees two-theta):
2θ 24.7, d = 3.607 Å, I = 100; 2θ 34.9, d = 2.569 Å, I = 93; 2θ 35.5, d = 2.532 Å, I = 92; 2θ 43.7, d = 2.072 Å, I = 22; 2θ 50.6, d = 1.803 Å, I = 33; 2θ 56.7, d = 1.622 Å, I = 20; 2θ 57.5, d = 1.603 Å, I = 20; 2θ 62.3, d = 1.491 Å, I = 16; 2θ 63.3, d = 1.469 Å, I = 33; 2θ 63.7, d = 1.462 Å, I = 17